# 1
This entry pairs a crystal structure of Sr2AgBiO4 with its theoretical powder diffraction line list. Radiation: copper Kα. Structure: a structure optimized by DFT (PBE).
No peak broadening, texture or thermal motion is included.

Principal peaks in the range 5° ≤ 2θ ≤ 70°, sorted by position:
Position (°2θ)  Rel. int.
30.13  100
31.02  31
35.08  77
35.41  37
50.10  27
51.30  25

Structure:
```
8
Lattice="6.119 0.000 0.000 0.000 3.656 0.000 -2.107 0.000 5.937" Properties=species:S:1:pos:R:3 pbc="T T T"
Sr 0.000 0.000 0.000
Sr -1.054 1.828 2.969
Ag 2.006 0.000 2.969
Bi 3.060 1.828 0.000
O 1.045 1.828 1.344
O -0.065 0.000 4.542
O 4.077 0.000 1.396
O 2.967 1.828 4.593
```


# 2
This entry pairs a crystal structure of La8CdAg2 with its theoretical powder diffraction line list. Radiation: copper Kα. Structure: a structure optimized by DFT (PBE).
No peak broadening, texture or thermal motion is included.

Principal peaks in the range 5° ≤ 2θ ≤ 70°, sorted by position:
Position (°2θ)  Rel. int.
30.98  45
31.33  97
31.55  100
31.94  56
45.07  47
56.67  19

Structure:
```
11
Lattice="8.396 -2.802 0.000 8.396 2.802 0.000 -4.555 0.000 7.614" Properties=species:S:1:pos:R:3 pbc="T T T"
La 0.186 0.000 1.723
La -0.812 0.000 5.349
La 2.855 0.000 4.117
La 6.576 0.000 0.345
La 5.659 0.000 7.269
La 9.381 0.000 3.497
La 13.048 0.000 2.264
La 12.050 0.000 5.891
Cd 6.118 0.000 3.807
Ag 3.281 0.000 0.909
Ag 8.955 0.000 6.705
```


# 3
This entry pairs a crystal structure of Ba2AcLu with its theoretical powder diffraction line list. Radiation: copper Kα. Structure: a structure optimized by DFT (PBE).
No peak broadening, texture or thermal motion is included.

Principal peaks in the range 5° ≤ 2θ ≤ 70°, sorted by position:
Position (°2θ)  Rel. int.
25.23  62
26.99  100
34.16  55
40.20  35
47.07  35
54.15  46

Structure:
```
4
Lattice="1.931 1.115 14.118 -1.931 1.115 14.118 0.000 -2.229 14.118" Properties=species:S:1:pos:R:3 pbc="T T T"
Ba 0.000 0.000 3.537
Ba 0.000 0.000 38.815
Ac 0.000 0.000 21.176
Lu 0.000 0.000 0.000
```


# 4
This entry pairs a crystal structure of Rb2Sb4Au5 with its theoretical powder diffraction line list. Radiation: copper Kα. Structure: a structure optimized by DFT (PBE).
No peak broadening, texture or thermal motion is included.

Principal peaks in the range 5° ≤ 2θ ≤ 70°, sorted by position:
Position (°2θ)  Rel. int.
12.21  100
29.56  69
30.96  73
34.72  77
37.58  63
39.65  73

Structure:
```
11
Lattice="0.000 7.247 7.369 3.149 0.000 7.369 3.149 7.247 0.000" Properties=species:S:1:pos:R:3 pbc="T T T"
Rb 3.149 7.247 2.148
Rb 3.149 7.247 12.590
Sb 3.149 5.045 5.598
Sb 3.149 5.045 9.139
Sb 3.149 9.448 5.598
Sb 3.149 9.448 9.139
Au 1.574 3.623 0.000
Au 1.574 3.623 3.684
Au 1.574 3.623 7.369
Au 3.149 7.247 7.369
Au 4.723 10.870 11.053
```


# 5
This entry pairs a crystal structure of Na2Zn3H4Se4O14 with its theoretical powder diffraction line list. Radiation: copper Kα. Structure: a structure optimized by DFT (PBE).
No peak broadening, texture or thermal motion is included.

Principal peaks in the range 5° ≤ 2θ ≤ 70°, sorted by position:
Position (°2θ)  Rel. int.
11.48  100
17.73  31
27.16  35
31.69  34
32.56  33
34.62  21

Structure:
```
54
Lattice="8.191 -3.352 0.000 8.191 3.352 0.000 -5.145 0.000 14.261" Properties=species:S:1:pos:R:3 pbc="T T T"
Na 3.808 2.421 7.202
Na 4.856 2.421 14.189
Na 6.381 -2.421 0.072
Na 7.429 -2.421 7.058
Zn 4.332 2.195 10.696
Zn 7.419 1.102 1.658
Zn 6.391 1.102 5.472
Zn 4.846 -1.102 8.789
Zn 3.819 -1.102 12.603
Zn 6.905 -2.195 3.565
H 1.455 1.467 8.857
H 4.243 0.061 1.618
H 1.670 -0.061 8.749
H 7.210 1.467 12.535
H 4.028 -1.467 1.726
H 9.567 0.061 5.512
H 6.994 -0.061 12.643
H 9.782 -1.467 5.404
Se -1.655 0.824 11.232
Se 1.914 1.178 12.656
Se 0.917 -0.824 4.102
Se 6.751 1.178 8.736
Se 4.487 -1.178 5.525
Se 10.320 0.824 10.159
Se 9.323 -1.178 1.605
Se 12.893 -0.824 3.028
O 0.293 0.618 4.839
O 5.636 2.708 4.488
O 2.133 2.034 14.138
O 1.008 0.646 8.547
O 8.174 2.708 2.643
O 5.461 1.216 2.210
O -2.280 -0.618 11.969
O 6.531 2.034 7.253
O 4.246 0.435 5.977
O 3.580 -0.646 1.417
O 3.602 0.914 12.124
O 5.063 0.914 9.267
O 8.349 1.216 4.921
O 1.673 -0.435 13.107
O 9.564 0.435 1.153
O 2.888 -1.216 9.340
O 6.175 -0.914 4.994
O 7.635 -0.914 2.137
O 7.657 0.646 12.844
O 6.991 -0.435 8.284
O 4.706 -2.034 7.007
O 13.517 0.618 2.292
O 5.776 -1.216 12.051
O 3.064 -2.708 11.618
O 10.230 -0.646 5.713
O 9.104 -2.034 0.123
O 5.601 -2.708 9.773
O 10.944 -0.618 9.422
```


# 6
This entry pairs a crystal structure of Tb3Dy8Y with its theoretical powder diffraction line list. Radiation: copper Kα. Structure: a structure optimized by DFT (PBE).
No peak broadening, texture or thermal motion is included.

Principal peaks in the range 5° ≤ 2θ ≤ 70°, sorted by position:
Position (°2θ)  Rel. int.
20.00  22
23.14  18
32.95  100
38.85  12
47.29  18
58.84  38

Structure:
```
12
Lattice="-3.844 3.844 7.690 3.844 -3.844 7.690 3.844 3.844 -7.690" Properties=species:S:1:pos:R:3 pbc="T T T"
Tb 0.000 0.000 0.000
Tb 3.844 0.000 3.845
Tb 0.000 3.844 3.845
Dy 1.915 1.915 -1.929
Dy 1.929 -1.929 5.761
Dy 1.915 1.915 1.929
Dy 1.929 -1.929 9.619
Dy -1.929 1.929 5.761
Dy 1.929 1.929 5.761
Dy -1.929 1.929 9.619
Dy 1.929 1.929 9.619
Y 0.000 0.000 7.690
```


# 7
This entry pairs a crystal structure of Ac2Ru2O7 with its theoretical powder diffraction line list. Radiation: copper Kα. Structure: a structure optimized by DFT (PBE).
No peak broadening, texture or thermal motion is included.

Principal peaks in the range 5° ≤ 2θ ≤ 70°, sorted by position:
Position (°2θ)  Rel. int.
14.29  12
28.81  100
33.38  37
47.93  45
56.89  45
59.67  12

Structure:
```
22
Lattice="0.000 5.368 5.368 5.368 0.000 5.368 5.368 5.368 0.000" Properties=species:S:1:pos:R:3 pbc="T T T"
Ac 0.000 0.000 0.000
Ac 2.684 2.684 0.000
Ac 2.684 0.000 2.684
Ac 0.000 2.684 2.684
Ru 5.368 2.684 2.684
Ru 2.684 5.368 2.684
Ru 2.684 2.684 5.368
Ru 5.368 5.368 5.368
O 1.342 1.342 1.342
O 4.026 4.026 1.903
O 4.026 1.903 4.026
O 6.149 4.026 4.026
O 6.710 6.710 4.587
O 6.710 4.587 6.710
O 8.833 6.710 6.710
O 1.903 4.026 4.026
O 4.026 6.149 4.026
O 4.026 4.026 6.149
O 4.587 6.710 6.710
O 6.710 8.833 6.710
O 6.710 6.710 8.833
O 9.394 9.394 9.394
```


# 8
This entry pairs a crystal structure of La15TlPb4 with its theoretical powder diffraction line list. Radiation: copper Kα. Structure: a structure optimized by DFT (PBE).
No peak broadening, texture or thermal motion is included.

Principal peaks in the range 5° ≤ 2θ ≤ 70°, sorted by position:
Position (°2θ)  Rel. int.
30.51  100
35.31  34
35.49  17
50.93  24
60.42  29
60.66  14

Structure:
```
20
Lattice="5.084 0.000 0.000 0.000 5.084 0.000 0.000 0.000 25.292" Properties=species:S:1:pos:R:3 pbc="T T T"
La 0.000 0.000 0.000
La 0.000 0.000 5.066
La 0.000 0.000 10.119
La 0.000 0.000 15.173
La 0.000 0.000 20.226
La 0.000 2.542 2.543
La 0.000 2.542 7.593
La 0.000 2.542 12.646
La 0.000 2.542 17.699
La 0.000 2.542 22.749
La 2.542 0.000 2.543
La 2.542 0.000 7.593
La 2.542 0.000 12.646
La 2.542 0.000 17.699
La 2.542 0.000 22.749
Tl 2.542 2.542 0.000
Pb 2.542 2.542 5.050
Pb 2.542 2.542 10.115
Pb 2.542 2.542 15.176
Pb 2.542 2.542 20.242
```


# 9
This entry pairs a crystal structure of TmZn6Ag4 with its theoretical powder diffraction line list. Radiation: copper Kα. Structure: a structure optimized by DFT (PBE).
No peak broadening, texture or thermal motion is included.

Principal peaks in the range 5° ≤ 2θ ≤ 70°, sorted by position:
Position (°2θ)  Rel. int.
32.28  60
35.25  100
37.04  51
43.10  44
43.28  37
47.74  35

Structure:
```
11
Lattice="7.414 0.000 0.000 -3.707 6.421 0.000 0.000 0.000 4.181" Properties=species:S:1:pos:R:3 pbc="T T T"
Tm 0.000 0.000 0.000
Zn 0.000 2.634 2.090
Zn -1.426 5.104 2.090
Zn 3.707 0.492 0.000
Zn 2.280 2.964 0.000
Zn 1.426 5.104 2.090
Zn 5.134 2.964 0.000
Ag 0.000 4.280 0.000
Ag 2.181 1.259 2.090
Ag 5.233 1.259 2.090
Ag 3.707 3.902 2.090
```


# 10
This entry pairs a crystal structure of TbSb2Pd7Au2 with its theoretical powder diffraction line list. Radiation: copper Kα. Structure: a structure optimized by DFT (PBE).
No peak broadening, texture or thermal motion is included.

Principal peaks in the range 5° ≤ 2θ ≤ 70°, sorted by position:
Position (°2θ)  Rel. int.
37.07  100
37.54  50
42.26  31
43.88  34
49.02  17
62.56  19

Structure:
```
12
Lattice="2.944 -2.892 0.000 2.944 2.892 0.000 -0.010 0.000 12.832" Properties=species:S:1:pos:R:3 pbc="T T T"
Tb 0.000 0.000 0.000
Sb 0.003 0.000 4.200
Sb 5.875 0.000 8.632
Pd 4.412 -1.447 2.079
Pd 1.466 1.447 10.753
Pd 1.476 0.000 6.421
Pd 4.412 1.447 2.079
Pd 2.944 0.000 0.000
Pd 1.466 -1.447 10.753
Pd 4.402 0.000 6.411
Au 2.941 0.000 4.027
Au 2.937 0.000 8.805
```


# 11
This entry pairs a crystal structure of Ac8Co3Au with its theoretical powder diffraction line list. Radiation: copper Kα. Structure: a structure optimized by DFT (PBE).
No peak broadening, texture or thermal motion is included.

Principal peaks in the range 5° ≤ 2θ ≤ 70°, sorted by position:
Position (°2θ)  Rel. int.
25.15  61
29.65  100
41.26  40
43.57  39
49.96  17
51.63  20

Structure:
```
12
Lattice="7.094 -4.374 0.000 7.094 4.374 0.000 -4.376 0.000 7.079" Properties=species:S:1:pos:R:3 pbc="T T T"
Ac 3.665 2.352 5.259
Ac 0.313 0.000 5.090
Ac 6.145 2.352 1.820
Ac 2.366 0.000 1.799
Ac 7.444 0.000 5.280
Ac 3.665 -2.352 5.259
Ac 9.497 0.000 1.989
Ac 6.145 -2.352 1.820
Co 0.000 0.000 0.000
Co 1.359 2.187 3.539
Co 1.359 -2.187 3.539
Au 7.094 0.000 0.000
```


# 12
This entry pairs a crystal structure of Nd6Sm2Hg with its theoretical powder diffraction line list. Radiation: copper Kα. Structure: a structure optimized by DFT (PBE).
No peak broadening, texture or thermal motion is included.

Principal peaks in the range 5° ≤ 2θ ≤ 70°, sorted by position:
Position (°2θ)  Rel. int.
28.18  22
30.14  54
32.04  100
37.15  30
53.57  28
59.34  20

Structure:
```
9
Lattice="9.675 0.000 0.000 -4.837 8.378 0.000 0.000 0.000 3.752" Properties=species:S:1:pos:R:3 pbc="T T T"
Nd -1.838 3.183 0.000
Nd -3.530 6.113 1.876
Nd 1.308 2.265 1.876
Nd 3.675 0.000 0.000
Nd 3.000 5.195 0.000
Nd 7.059 0.000 1.876
Sm 0.000 5.586 1.876
Sm 4.837 2.793 1.876
Hg 0.000 0.000 0.000
```


Please write out number 7 again, unchanged.
This entry pairs a crystal structure of Ac2Ru2O7 with its theoretical powder diffraction line list. Radiation: copper Kα. Structure: a structure optimized by DFT (PBE).
No peak broadening, texture or thermal motion is included.

Principal peaks in the range 5° ≤ 2θ ≤ 70°, sorted by position:
Position (°2θ)  Rel. int.
14.29  12
28.81  100
33.38  37
47.93  45
56.89  45
59.67  12

Structure:
```
22
Lattice="0.000 5.368 5.368 5.368 0.000 5.368 5.368 5.368 0.000" Properties=species:S:1:pos:R:3 pbc="T T T"
Ac 0.000 0.000 0.000
Ac 2.684 2.684 0.000
Ac 2.684 0.000 2.684
Ac 0.000 2.684 2.684
Ru 5.368 2.684 2.684
Ru 2.684 5.368 2.684
Ru 2.684 2.684 5.368
Ru 5.368 5.368 5.368
O 1.342 1.342 1.342
O 4.026 4.026 1.903
O 4.026 1.903 4.026
O 6.149 4.026 4.026
O 6.710 6.710 4.587
O 6.710 4.587 6.710
O 8.833 6.710 6.710
O 1.903 4.026 4.026
O 4.026 6.149 4.026
O 4.026 4.026 6.149
O 4.587 6.710 6.710
O 6.710 8.833 6.710
O 6.710 6.710 8.833
O 9.394 9.394 9.394
```


Number 3 is which compound? Ba2AcLu